Entry 1:
NbO2: simulated powder diffraction line list (Cu Kα, 1.54184 Å), based on DFT lattice parameters and positions (PBE).
No peak broadening, texture or thermal motion is included.

Principal peaks in the range 15 to 90 degrees two-theta, sorted by position:
2θ = 25.17°, I 100
2θ = 35.47°, I 64
2θ = 35.89°, I 18
2θ = 51.35°, I 59
2θ = 51.66°, I 20
2θ = 64.24°, I 18

Structural model:
abc: 5.0043 5.0043 2.9331
angles: 90.00 90.00 90.00
Fractional coordinates of all 6 atoms:
Nb: 0.0000 0.0000 0.0000
Nb: 0.5000 0.5000 0.5000
O: 0.2116 0.2116 0.5000
O: 0.2884 0.7116 0.0000
O: 0.7116 0.2884 0.0000
O: 0.7884 0.7884 0.5000

***

Entry 2:
RbFe2S3: simulated powder diffraction line list (Cu Kα, 1.54184 Å), based on DFT lattice parameters and positions (PBE).
No peak broadening, texture or thermal motion is included.

Principal peaks in the range 15 to 90 degrees two-theta, sorted by position:
2θ = 15.31°, I 39
2θ = 25.06°, I 59
2θ = 30.36°, I 100
2θ = 47.17°, I 26
2θ = 53.59°, I 24
2θ = 54.17°, I 21

Structural model:
abc: 7.3694 7.3694 5.1645
angles: 90.00 90.00 103.46
Fractional coordinates of all 12 atoms:
Rb: 0.1760 0.8240 0.7500
Rb: 0.8240 0.1760 0.2500
Fe: 0.3609 0.3609 0.0000
Fe: 0.3609 0.3609 0.5000
Fe: 0.6391 0.6391 0.0000
Fe: 0.6391 0.6391 0.5000
S: 0.1275 0.3344 0.7500
S: 0.3344 0.1275 0.2500
S: 0.3949 0.6051 0.2500
S: 0.6051 0.3949 0.7500
S: 0.6656 0.8725 0.7500
S: 0.8725 0.6656 0.2500

***

Entry 3:
TiFeSi2: simulated powder diffraction line list (Cu Kα, 1.54184 Å), based on DFT lattice parameters and positions (PBE).
No peak broadening, texture or thermal motion is included.

Principal peaks in the range 15 to 90 degrees two-theta, sorted by position:
2θ = 39.24°, I 43
2θ = 40.65°, I 95
2θ = 42.55°, I 65
2θ = 42.71°, I 100
2θ = 44.94°, I 72
2θ = 48.02°, I 43

Structural model:
abc: 8.5755 9.5304 7.5792
angles: 90.00 90.00 90.00
Fractional coordinates of all 48 atoms:
Ti: 0.1675 0.1797 0.0000
Ti: 0.1739 0.4515 0.2384
Ti: 0.1739 0.4515 0.7616
Ti: 0.3261 0.9515 0.2384
Ti: 0.3261 0.9515 0.7616
Ti: 0.3325 0.6797 0.0000
Ti: 0.6675 0.3203 0.0000
Ti: 0.6739 0.0485 0.2384
Ti: 0.6739 0.0485 0.7616
Ti: 0.8261 0.5485 0.2384
Ti: 0.8261 0.5485 0.7616
Ti: 0.8325 0.8203 0.0000
Fe: 0.0000 0.0000 0.2441
Fe: 0.0000 0.0000 0.7559
Fe: 0.0898 0.7427 0.2487
Fe: 0.0898 0.7427 0.7513
Fe: 0.4102 0.2427 0.2487
Fe: 0.4102 0.2427 0.7513
Fe: 0.5000 0.5000 0.2441
Fe: 0.5000 0.5000 0.7559
Fe: 0.5898 0.7573 0.2487
Fe: 0.5898 0.7573 0.7513
Fe: 0.9102 0.2573 0.2487
Fe: 0.9102 0.2573 0.7513
Si: 0.0386 0.6198 0.0000
Si: 0.0395 0.6220 0.5000
Si: 0.1219 0.9016 0.5000
Si: 0.1258 0.8959 0.0000
Si: 0.1615 0.1813 0.3446
Si: 0.1615 0.1813 0.6554
Si: 0.3385 0.6813 0.3446
Si: 0.3385 0.6813 0.6554
Si: 0.3742 0.3959 0.0000
Si: 0.3781 0.4016 0.5000
Si: 0.4605 0.1220 0.5000
Si: 0.4614 0.1198 0.0000
Si: 0.5386 0.8802 0.0000
Si: 0.5395 0.8780 0.5000
Si: 0.6219 0.5984 0.5000
Si: 0.6258 0.6041 0.0000
Si: 0.6615 0.3187 0.3446
Si: 0.6615 0.3187 0.6554
Si: 0.8385 0.8187 0.3446
Si: 0.8385 0.8187 0.6554
Si: 0.8742 0.1041 0.0000
Si: 0.8781 0.0984 0.5000
Si: 0.9605 0.3780 0.5000
Si: 0.9614 0.3802 0.0000

***

Entry 4:
GdCo2B2: simulated powder diffraction line list (Cu Kα, 1.54184 Å), based on DFT lattice parameters and positions (PBE).
No peak broadening, texture or thermal motion is included.

Principal peaks in the range 15 to 90 degrees two-theta, sorted by position:
2θ = 26.75°, I 85
2θ = 37.67°, I 30
2θ = 37.93°, I 47
2θ = 40.54°, I 100
2θ = 51.39°, I 28
2θ = 65.44°, I 22

Structural model:
abc: 3.5563 3.5563 9.5517
angles: 90.00 90.00 90.00
Fractional coordinates of all 10 atoms:
Gd: 0.0000 0.0000 0.0000
Gd: 0.5000 0.5000 0.5000
Co: 0.0000 0.5000 0.2500
Co: 0.0000 0.5000 0.7500
Co: 0.5000 0.0000 0.2500
Co: 0.5000 0.0000 0.7500
B: 0.0000 0.0000 0.3448
B: 0.0000 0.0000 0.6552
B: 0.5000 0.5000 0.1552
B: 0.5000 0.5000 0.8448

***

Entry 5:
Ti3GeC2: simulated powder diffraction line list (Cu Kα, 1.54184 Å), based on DFT lattice parameters and positions (PBE).
No peak broadening, texture or thermal motion is included.

Principal peaks in the range 15 to 90 degrees two-theta, sorted by position:
2θ = 33.80°, I 14
2θ = 39.17°, I 100
2θ = 40.30°, I 19
2θ = 42.10°, I 19
2θ = 59.74°, I 25
2θ = 74.54°, I 17

Structural model:
abc: 3.0959 3.0959 17.9040
angles: 90.00 90.00 120.00
Fractional coordinates of all 12 atoms:
Ti: 0.0000 0.0000 0.0000
Ti: 0.0000 0.0000 0.5000
Ti: 0.3333 0.6667 0.1325
Ti: 0.3333 0.6667 0.3675
Ti: 0.6667 0.3333 0.6325
Ti: 0.6667 0.3333 0.8675
Ge: 0.0000 0.0000 0.2500
Ge: 0.0000 0.0000 0.7500
C: 0.3333 0.6667 0.5717
C: 0.3333 0.6667 0.9283
C: 0.6667 0.3333 0.0717
C: 0.6667 0.3333 0.4283